Record 1
Starting from a DFT-relaxed cell (PBE, Alexandria), the XRD peak list of TaTcB was computed for Cu Kα.
Neutral-atom scattering factors, no anomalous dispersion.

Structure:
Lattice parameters (Å, degrees): 11.0511 3.1686 6.4472 90.00 90.00 90.00
Atoms (fractional coordinates):
Ta: 0.0461 0.0000 0.2287
Ta: 0.2500 0.0000 0.8536
Ta: 0.4539 0.0000 0.2287
Ta: 0.5461 0.0000 0.7713
Ta: 0.7500 0.0000 0.1464
Ta: 0.9539 0.0000 0.7713
Tc: 0.1226 0.5000 0.5767
Tc: 0.2500 0.5000 0.1981
Tc: 0.3774 0.5000 0.5767
Tc: 0.6226 0.5000 0.4233
Tc: 0.7500 0.5000 0.8019
Tc: 0.8774 0.5000 0.4233
B: 0.0857 0.5000 0.9473
B: 0.2500 0.0000 0.4524
B: 0.4143 0.5000 0.9473
B: 0.5857 0.5000 0.0527
B: 0.7500 0.0000 0.5476
B: 0.9143 0.5000 0.0527

Largest 10 diffraction maxima, in order of rising 2θ, 2θ from 10° to 90°:
two_theta, d (Å), I_rel
27.67, 3.224, 22
27.89, 3.198, 22
31.46, 2.844, 22
35.35, 2.539, 22
39.89, 2.260, 28
40.06, 2.251, 100
40.76, 2.214, 29
43.26, 2.091, 43
43.46, 2.082, 23
58.24, 1.584, 18



Record 2
Starting from a DFT-relaxed cell (PBE, Alexandria), the XRD peak list of Cu3B4Pb2O11 was computed for Cu Kα.
Neutral-atom scattering factors, no anomalous dispersion.

Structure:
Lattice parameters (Å, degrees): 6.8534 4.7946 15.7922 90.00 109.07 90.00
Atoms (fractional coordinates):
Cu: 0.0000 0.0000 0.0000
Cu: 0.0000 0.0000 0.5000
Cu: 0.2903 0.4675 0.4400
Cu: 0.2903 0.5325 0.9400
Cu: 0.7097 0.4675 0.0600
Cu: 0.7097 0.5325 0.5600
B: 0.1403 0.0264 0.8384
B: 0.1403 0.9736 0.3384
B: 0.4631 0.0636 0.5977
B: 0.4631 0.9364 0.0977
B: 0.5369 0.0636 0.9023
B: 0.5369 0.9364 0.4023
B: 0.8597 0.0264 0.6616
B: 0.8597 0.9736 0.1616
Pb: 0.2076 0.4059 0.1926
Pb: 0.2076 0.5941 0.6926
Pb: 0.7924 0.4059 0.3074
Pb: 0.7924 0.5941 0.8074
O: 0.0000 0.0946 0.2500
O: 0.0000 0.9054 0.7500
O: 0.0926 0.1601 0.4067
O: 0.0926 0.8399 0.9067
O: 0.1007 0.3157 0.8479
O: 0.1007 0.6843 0.3479
O: 0.2771 0.0579 0.0906
O: 0.2771 0.9421 0.5906
O: 0.3555 0.0376 0.3392
O: 0.3555 0.9624 0.8392
O: 0.4737 0.2943 0.5476
O: 0.4737 0.7057 0.0476
O: 0.5263 0.2943 0.9524
O: 0.5263 0.7057 0.4524
O: 0.6445 0.0376 0.1608
O: 0.6445 0.9624 0.6608
O: 0.7229 0.0579 0.4094
O: 0.7229 0.9421 0.9094
O: 0.8993 0.3157 0.6521
O: 0.8993 0.6843 0.1521
O: 0.9074 0.1601 0.0933
O: 0.9074 0.8399 0.5933

Largest 10 diffraction maxima, in order of rising 2θ, 2θ from 10° to 90°:
two_theta, d (Å), I_rel
18.51, 4.795, 35
19.45, 4.565, 38
23.30, 3.817, 39
26.17, 3.405, 26
28.05, 3.181, 28
29.92, 2.986, 100
31.33, 2.855, 35
32.25, 2.776, 30
33.39, 2.684, 50
36.64, 2.453, 26